(1)
Simulated XRD peak list of Mg3In for Cu Kα, from a crystal structure in the Materials Project, relaxed with GGA-PBE.

Main lines, by intensity (5° ≤ 2θ ≤ 70°):
2theta  I/Imax
34.37  100.0
21.93  68.2
39.63  33.5
68.54  24.9
19.89  21.4
57.88  21.1
45.75  19.4
36.06  19.3

```
Mg3In
1.0
-2.274 2.274 4.464
2.274 -2.274 4.464
2.274 2.274 -4.464
Mg In
3 1
direct
0.000 0.000 0.000
0.250 0.750 0.500
0.750 0.250 0.500
0.500 0.500 0.000
```

(2)
Simulated XRD peak list of Ce2Zr2O7 for Cu Kα, from a crystal structure in the Materials Project, relaxed with GGA-PBE.

Main lines, by intensity (5° ≤ 2θ ≤ 70°):
2theta  I/Imax
28.64  100.0
47.65  49.6
56.54  43.4
33.19  30.6
59.30  9.6
69.67  7.1
36.27  5.2
14.21  3.5

```
Ce2Zr2O7
1.0
0.000 5.398 5.398
5.398 0.000 5.398
5.398 5.398 0.000
Ce Zr O
4 4 14
direct
0.000 0.000 0.000
0.000 0.000 0.500
0.000 0.500 0.000
0.500 0.000 0.000
0.000 0.500 0.500
0.500 0.000 0.500
0.500 0.500 0.000
0.500 0.500 0.500
0.125 0.125 0.125
0.164 0.164 0.586
0.164 0.586 0.164
0.164 0.586 0.586
0.414 0.414 0.836
0.414 0.836 0.414
0.414 0.836 0.836
0.586 0.164 0.164
0.586 0.164 0.586
0.586 0.586 0.164
0.836 0.414 0.414
0.836 0.414 0.836
0.836 0.836 0.414
0.875 0.875 0.875
```

What did the second record say?
Simulated XRD peak list of Ce2Zr2O7 for Cu Kα, from a crystal structure in the Materials Project, relaxed with GGA-PBE.

Main lines, by intensity (5° ≤ 2θ ≤ 70°):
2theta  I/Imax
28.64  100.0
47.65  49.6
56.54  43.4
33.19  30.6
59.30  9.6
69.67  7.1
36.27  5.2
14.21  3.5

```
Ce2Zr2O7
1.0
0.000 5.398 5.398
5.398 0.000 5.398
5.398 5.398 0.000
Ce Zr O
4 4 14
direct
0.000 0.000 0.000
0.000 0.000 0.500
0.000 0.500 0.000
0.500 0.000 0.000
0.000 0.500 0.500
0.500 0.000 0.500
0.500 0.500 0.000
0.500 0.500 0.500
0.125 0.125 0.125
0.164 0.164 0.586
0.164 0.586 0.164
0.164 0.586 0.586
0.414 0.414 0.836
0.414 0.836 0.414
0.414 0.836 0.836
0.586 0.164 0.164
0.586 0.164 0.586
0.586 0.586 0.164
0.836 0.414 0.414
0.836 0.414 0.836
0.836 0.836 0.414
0.875 0.875 0.875
```

Question: What is the formula in the first record?
Answer: Mg3In